No. 1
Theoretical powder diffraction line list
Compound: InCu2Sn
Radiation: Cu Ka
Structure: the PBE geometry in Alexandria
No peak broadening, texture or thermal motion is included.

Top 8 peaks for 2θ = 10–80°, sorted by position:
26.6 deg, I 250, (0 1 2); 35.6 deg, I 1000, (1 0 4); 40.3 deg, I 942, (1 1 0); 54.8 deg, I 282, (0 2 4); 58.6 deg, I 188, (1 1 6); 70.2 deg, I 266, (2 1 4); 73.2 deg, I 155, (3 0 0); 75.5 deg, I 105, (1 0 10)

Structural model:
```
data_InCu2Sn
_chemical_formula_sum 'In3 Cu6 Sn3'
_symmetry_space_group_name_H-M 'R -3 m'
_symmetry_Int_Tables_number 166
_symmetry_space_group_name_Hall '-R 3 2"'
_cell_length_a 4.4788
_cell_length_b 4.4788
_cell_length_c 13.3063
_cell_angle_alpha 90.00
_cell_angle_beta 90.00
_cell_angle_gamma 120.00
loop_
_atom_site_label
_atom_site_type_symbol
_atom_site_fract_x
_atom_site_fract_y
_atom_site_fract_z
In1 In 0.0000 0.0000 0.0000
Cu1 Cu 0.0000 0.0000 0.2852
Sn1 Sn 0.0000 0.0000 0.5000
```

---

No. 2
Theoretical powder diffraction line list
Compound: Na3Sn2Hg4
Radiation: Cu Ka
Structure: the PBE geometry in Alexandria
No peak broadening, texture or thermal motion is included.

Top 8 peaks for 2θ = 10–80°, sorted by position:
19.9 deg, I 320, (2 0 0); 20.0 deg, I 616, (1 3 0); 26.3 deg, I 764, (0 0 2); 33.2 deg, I 963, (2 0 2); 34.8 deg, I 1000, (3 3 0); 35.0 deg, I 491, (0 6 0); 44.2 deg, I 802, (3 3 2); 44.4 deg, I 391, (0 6 2)

Structural model:
```
data_Na3Sn2Hg4
_chemical_formula_sum 'Na12 Sn8 Hg16'
_symmetry_space_group_name_H-M 'C c c m'
_symmetry_Int_Tables_number 66
_symmetry_space_group_name_Hall '-C 2 2c'
_cell_length_a 8.945
_cell_length_b 15.361
_cell_length_c 6.771
_cell_angle_alpha 90.00
_cell_angle_beta 90.00
_cell_angle_gamma 90.00
loop_
_atom_site_label
_atom_site_type_symbol
_atom_site_fract_x
_atom_site_fract_y
_atom_site_fract_z
Na1 Na 0.000 0.000 0.250
Na2 Na 0.000 0.338 0.250
Sn1 Sn 0.168 0.168 0.000
Hg1 Hg 0.166 0.499 0.500
Hg2 Hg 0.168 0.168 0.500
```